# 1
Diffraction record for Sr7ZrSi6O21. The powder X-ray diffraction pattern is theoretical, not measured: it uses a cell relaxed with GGA-PBE and CuKα.
Intensities are scaled so that the largest is 100.

```
Sr7ZrSi6O21
1.0
6.8057 3.9293 3.2860
-6.8057 3.9293 3.2860
0.0000 -7.8585 3.2860
Sr Zr Si O
7 1 6 21
Direct
0.0000 0.0000 0.0000
0.1284 0.2505 0.6518
0.2505 0.6518 0.1284
0.3482 0.8716 0.7495
0.6518 0.1284 0.2505
0.7495 0.3482 0.8716
0.8716 0.7495 0.3482
0.5000 0.5000 0.5000
0.0420 0.4270 0.3171
0.3171 0.0420 0.4270
0.4270 0.3171 0.0420
0.5730 0.6829 0.9580
0.6829 0.9580 0.5730
0.9580 0.5730 0.6829
0.0000 0.5000 0.5000
0.0418 0.4878 0.8186
0.0446 0.7852 0.7549
0.1814 0.9582 0.5122
0.2148 0.2451 0.9554
0.2451 0.9554 0.2148
0.2578 0.5168 0.3752
0.3752 0.2578 0.5168
0.4832 0.6248 0.7422
0.4878 0.8186 0.0418
0.5000 0.0000 0.5000
0.5000 0.5000 0.0000
0.5122 0.1814 0.9582
0.5168 0.3752 0.2578
0.6248 0.7422 0.4832
0.7422 0.4832 0.6248
0.7549 0.0446 0.7852
0.7852 0.7549 0.0446
0.8186 0.0418 0.4878
0.9554 0.2148 0.2451
0.9582 0.5122 0.1814
```

Peak list (12 most intense, 2θ from 10° to 80°, most intense first)
- 2θ 27.0, I = 100.0
- 2θ 28.8, I = 70.4
- 2θ 32.9, I = 45.0
- 2θ 26.2, I = 29.2
- 2θ 48.2, I = 26.6
- 2θ 27.1, I = 21.4
- 2θ 30.2, I = 20.7
- 2θ 46.1, I = 19.7
- 2θ 50.6, I = 18.9
- 2θ 46.7, I = 18.9
- 2θ 43.7, I = 18.7
- 2θ 41.9, I = 15.8


# 2
Diffraction record for Tb2Si2O7. The powder X-ray diffraction pattern is theoretical, not measured: it uses a cell relaxed with GGA-PBE and CuKα.
Intensities are scaled so that the largest is 100.

```
Tb2Si2O7
1.0
6.6861 0.0000 0.0000
-0.2177 6.7158 0.0000
-0.2563 -0.9100 12.1488
Tb Si O
8 8 28
Direct
0.0517 0.3268 0.1153
0.1182 0.0885 0.3573
0.3276 0.8262 0.1085
0.3668 0.2221 0.6333
0.6332 0.7779 0.3667
0.6724 0.1738 0.8915
0.8818 0.9115 0.6427
0.9483 0.6732 0.8847
0.1461 0.6249 0.3799
0.1542 0.1492 0.8846
0.3764 0.7273 0.5944
0.4875 0.6674 0.8247
0.5125 0.3326 0.1753
0.6236 0.2727 0.4056
0.8458 0.8508 0.1154
0.8539 0.3751 0.6201
0.9997 0.3334 0.9184
0.0003 0.6666 0.0816
0.0007 0.9875 0.8149
0.0357 0.2297 0.5787
0.0774 0.4160 0.3120
0.2266 0.9063 0.6221
0.2304 0.0849 0.0042
0.2852 0.5749 0.4902
0.2902 0.7800 0.3132
0.3006 0.7076 0.9056
0.3469 0.2104 0.8144
0.3565 0.4879 0.1268
0.3809 0.1371 0.2107
0.3994 0.5722 0.6949
0.4146 0.1739 0.4470
0.5854 0.8261 0.5530
0.6006 0.4278 0.3051
0.6191 0.8629 0.7893
0.6435 0.5121 0.8732
0.6531 0.7896 0.1856
0.6994 0.2924 0.0944
0.7098 0.2200 0.6868
0.7148 0.4251 0.5098
0.7696 0.9151 0.9958
0.7734 0.0937 0.3779
0.9226 0.5840 0.6880
0.9643 0.7703 0.4213
0.9993 0.0125 0.1851
```

Peak list (12 most intense, 2θ from 10° to 80°, most intense first)
- 2θ 29.4, I = 100.0
- 2θ 30.3, I = 74.2
- 2θ 20.1, I = 55.6
- 2θ 30.8, I = 46.1
- 2θ 49.9, I = 42.7
- 2θ 20.0, I = 41.6
- 2θ 31.6, I = 37.6
- 2θ 29.5, I = 37.0
- 2θ 26.6, I = 35.3
- 2θ 32.7, I = 33.5
- 2θ 42.3, I = 28.2
- 2θ 13.2, I = 27.4


# 3
Diffraction record for Tb2SiO5. The powder X-ray diffraction pattern is theoretical, not measured: it uses a cell relaxed with GGA-PBE and CuKα.
Intensities are scaled so that the largest is 100.

```
Tb2SiO5
1.0
9.1357 0.0000 0.0000
0.0000 7.0576 0.0000
-2.0087 0.0000 6.4063
Tb Si O
8 4 20
Direct
0.0265 0.1242 0.2335
0.0265 0.3758 0.7335
0.3849 0.1473 0.0823
0.3849 0.3527 0.5823
0.6151 0.6473 0.4177
0.6151 0.8527 0.9177
0.9735 0.6242 0.2665
0.9735 0.8758 0.7665
0.2983 0.5866 0.0392
0.2983 0.9134 0.5392
0.7017 0.0866 0.4608
0.7017 0.4134 0.9608
0.1144 0.6369 0.9916
0.1144 0.8631 0.4916
0.1156 0.1213 0.9483
0.1156 0.3787 0.4483
0.2948 0.0716 0.3548
0.2948 0.4284 0.8548
0.3683 0.0430 0.7481
0.3683 0.4570 0.2481
0.4061 0.7309 0.5490
0.4061 0.7691 0.0490
0.5939 0.2309 0.9510
0.5939 0.2691 0.4510
0.6317 0.5430 0.7519
0.6317 0.9570 0.2519
0.7052 0.5716 0.1452
0.7052 0.9284 0.6452
0.8844 0.6213 0.5517
0.8844 0.8787 0.0517
0.8856 0.1369 0.5084
0.8856 0.3631 0.0084
```

Peak list (12 most intense, 2θ from 10° to 80°, most intense first)
- 2θ 28.9, I = 100.0
- 2θ 33.0, I = 76.5
- 2θ 29.2, I = 75.9
- 2θ 32.1, I = 69.2
- 2θ 30.8, I = 57.7
- 2θ 48.2, I = 57.6
- 2θ 16.2, I = 55.7
- 2θ 32.5, I = 55.7
- 2θ 45.8, I = 52.7
- 2θ 20.4, I = 41.5
- 2θ 33.3, I = 27.4
- 2θ 51.8, I = 24.7


# 4
Diffraction record for TbSiO3. The powder X-ray diffraction pattern is theoretical, not measured: it uses a cell relaxed with GGA-PBE and CuKα.
Intensities are scaled so that the largest is 100.

```
TbSiO3
1.0
3.7283 0.0000 0.0000
0.0000 3.7283 0.0000
0.0000 0.0000 3.7283
Tb Si O
1 1 3
Direct
0.0000 0.0000 0.0000
0.5000 0.5000 0.5000
0.0000 0.5000 0.5000
0.5000 0.0000 0.5000
0.5000 0.5000 0.0000
```

Peak list (8 most intense, 2θ from 10° to 80°, most intense first)
- 2θ 34.0, I = 100.0
- 2θ 23.9, I = 51.3
- 2θ 42.0, I = 40.6
- 2θ 60.9, I = 38.7
- 2θ 48.9, I = 33.2
- 2θ 55.1, I = 23.8
- 2θ 71.6, I = 19.8
- 2θ 76.7, I = 11.6


# 5
Diffraction record for ThSiO4. The powder X-ray diffraction pattern is theoretical, not measured: it uses a cell relaxed with GGA-PBE and CuKα.
Intensities are scaled so that the largest is 100.

```
ThSiO4
1.0
6.5562 0.0000 0.0000
0.0000 7.0255 0.0000
-4.7542 0.0000 6.6110
Th Si O
4 4 16
Direct
0.1875 0.1530 0.2841
0.1875 0.3470 0.7841
0.8125 0.6530 0.2159
0.8125 0.8470 0.7159
0.3091 0.6615 0.1982
0.3091 0.8385 0.6982
0.6909 0.1615 0.3018
0.6909 0.3385 0.8018
0.1076 0.6606 0.6115
0.1076 0.8394 0.1115
0.1736 0.0029 0.7476
0.1736 0.4971 0.2476
0.3481 0.6036 0.0225
0.3481 0.8964 0.5225
0.3989 0.2127 0.1192
0.3989 0.2873 0.6192
0.6011 0.7127 0.3808
0.6011 0.7873 0.8808
0.6519 0.1036 0.4775
0.6519 0.3964 0.9775
0.8264 0.5029 0.7524
0.8264 0.9971 0.2524
0.8924 0.1606 0.8885
0.8924 0.3394 0.3885
```

Peak list (12 most intense, 2θ from 10° to 80°, most intense first)
- 2θ 28.8, I = 100.0
- 2θ 20.9, I = 78.1
- 2θ 31.0, I = 60.0
- 2θ 27.0, I = 56.9
- 2θ 18.9, I = 44.5
- 2θ 25.3, I = 36.2
- 2θ 21.9, I = 30.8
- 2θ 46.5, I = 30.2
- 2θ 29.9, I = 28.5
- 2θ 41.1, I = 26.5
- 2θ 41.7, I = 26.2
- 2θ 42.7, I = 25.3


# 6
Diffraction record for ThSi2O2. The powder X-ray diffraction pattern is theoretical, not measured: it uses a cell relaxed with GGA-PBE and CuKα.
Intensities are scaled so that the largest is 100.

```
ThSi2O2
1.0
-5.3678 5.3678 7.7037
5.3678 -5.3678 7.7037
5.3678 5.3678 -7.7037
Th Si O
4 8 8
Direct
0.0000 0.0000 0.0000
0.0000 0.0000 0.5000
0.0000 0.5000 0.0000
0.5000 0.0000 0.5000
0.0548 0.1789 0.8759
0.1789 0.0548 0.3759
0.1789 0.8030 0.1241
0.1970 0.8211 0.3759
0.8030 0.1789 0.6241
0.8211 0.1970 0.8759
0.8211 0.9452 0.6241
0.9452 0.8211 0.1241
0.1379 0.1624 0.5245
0.1379 0.6134 0.9755
0.1624 0.1379 0.0245
0.3866 0.8621 0.5245
0.6134 0.1379 0.4755
0.8376 0.8621 0.9755
0.8621 0.3866 0.0245
0.8621 0.8376 0.4755
```

Peak list (12 most intense, 2θ from 10° to 80°, most intense first)
- 2θ 10.0, I = 100.0
- 2θ 20.2, I = 34.1
- 2θ 19.4, I = 21.4
- 2θ 23.4, I = 20.6
- 2θ 39.3, I = 18.3
- 2θ 38.9, I = 11.7
- 2θ 30.6, I = 11.7
- 2θ 33.1, I = 9.6
- 2θ 45.9, I = 8.2
- 2θ 25.4, I = 8.2
- 2θ 33.4, I = 8.2
- 2θ 52.2, I = 8.1


# 7
Diffraction record for ThSiO3. The powder X-ray diffraction pattern is theoretical, not measured: it uses a cell relaxed with GGA-PBE and CuKα.
Intensities are scaled so that the largest is 100.

```
ThSiO3
1.0
3.8840 0.0000 0.0000
0.0000 3.8840 0.0000
0.0000 0.0000 3.8840
Th Si O
1 1 3
Direct
0.0000 0.0000 0.0000
0.5000 0.5000 0.5000
0.0000 0.5000 0.5000
0.5000 0.0000 0.5000
0.5000 0.5000 0.0000
```

Peak list (9 most intense, 2θ from 10° to 80°, most intense first)
- 2θ 32.6, I = 100.0
- 2θ 22.9, I = 65.9
- 2θ 40.2, I = 40.7
- 2θ 58.2, I = 40.6
- 2θ 52.7, I = 31.9
- 2θ 46.8, I = 29.6
- 2θ 68.3, I = 18.5
- 2θ 77.8, I = 18.1
- 2θ 73.1, I = 15.8